Diffraction record for Ag4Br3F2. The PXRD pattern is calculated, not measured: it uses a structure optimized by DFT (GGA-PBE) and Cu Kα (weighted mean of Kα1 and Kα2).
Intensities are scaled so that the largest is 100.

Atomic structure:
```
18
Lattice="5.8193 -4.8909 0.0000 5.8193 4.8909 0.0000 -0.1267 0.0000 6.9568" Properties=species:S:1:pos:R:3 pbc="T T T"
Ag 4.4032 3.3298 6.9524
Ag 4.0450 0.8664 3.0028
Ag 7.0454 3.3298 3.4827
Ag 3.9817 -0.8664 6.4812
Ag 7.5302 0.8664 0.4756
Ag 4.4665 -3.3298 3.4740
Ag 7.4669 -0.8664 3.9540
Ag 7.1087 -3.3298 0.0043
Br 4.4118 3.6210 3.0927
Br 7.1635 3.6210 0.3857
Br 5.7243 0.9348 5.2176
Br 5.7876 -0.9348 1.7392
Br 4.3484 -3.6210 6.5711
Br 7.1001 -3.6210 3.8641
F 3.4437 1.2701 0.7202
F 3.3804 -1.2701 4.1986
F 8.1315 1.2701 2.7582
F 8.0682 -1.2701 6.2366
```

Peak list (8 most intense, 10° ≤ 2θ ≤ 90°, most intense first)
2θ (°)  I (rel.)
26.91  100
25.61  93
30.73  69
28.42  68
36.75  58
40.04  50
40.81  43
38.52  41

***

Diffraction record for Dy3PuAs4. The PXRD pattern is calculated, not measured: it uses a structure optimized by DFT (GGA-PBE) and Cu Kα (weighted mean of Kα1 and Kα2).
Intensities are scaled so that the largest is 100.

Atomic structure:
```
8
Lattice="4.1176 -5.8225 0.0000 4.1176 5.8225 0.0000 0.0000 0.0000 4.1289" Properties=species:S:1:pos:R:3 pbc="T T T"
Dy 0.0000 0.0000 0.0000
Dy 2.0588 2.9113 2.0645
Dy 2.0588 -2.9113 2.0645
Pu 4.1176 0.0000 0.0000
As 2.0681 0.0000 2.0645
As 4.1176 2.9047 0.0000
As 4.1176 -2.9047 0.0000
As 6.1672 0.0000 2.0645
```

Peak list (8 most intense, 10° ≤ 2θ ≤ 90°, most intense first)
2θ (°)  I (rel.)
30.68  100
43.93  63
26.49  30
72.56  28
80.84  17
54.49  13
54.60  13
43.98  12

***

- Number 2 is which compound?
  Dy3PuAs4